Record 1
CeScGa6: calculated powder X-ray diffraction pattern (Cu Kα (weighted mean of Kα1 and Kα2)), based on the GGA-PBE geometry in Alexandria.
Lines closer than 0.1° are merged.

Most intense lines, 10° ≤ 2θ ≤ 90°, sorted by position:
hkl 1 0 0, 16.52 deg, rel. 9; hkl 1 0 1, 25.60 deg, rel. 8; hkl 2 0 0, 33.40 deg, rel. 27; hkl 2 0 1, 38.93 deg, rel. 100; hkl 0 0 2, 39.42 deg, rel. 22; hkl 2 0 2, 52.60 deg, rel. 15; hkl 2 2 0, 59.70 deg, rel. 16; hkl 2 0 3, 71.16 deg, rel. 16; hkl 4 0 1, 73.59 deg, rel. 12; hkl 2 2 2, 73.92 deg, rel. 17

```
CeScGa6
1.0
6.1952 0.0000 0.0000
-3.0976 5.3652 0.0000
0.0000 0.0000 4.5716
Ce Sc Ga
1 1 6
Direct
0.0000 0.0000 0.0000 Ce
0.3333 0.6667 0.5000 Sc
0.3737 0.1868 0.5000 Ga
0.5110 0.0219 0.0000 Ga
0.5110 0.4890 0.0000 Ga
0.8132 0.1868 0.5000 Ga
0.8132 0.6263 0.5000 Ga
0.9781 0.4890 0.0000 Ga
```

=====

Record 2
CaNi4P3: calculated powder X-ray diffraction pattern (Cu Kα (weighted mean of Kα1 and Kα2)), based on the GGA-PBE geometry in Alexandria.
Lines closer than 0.1° are merged.

Most intense lines, 10° ≤ 2θ ≤ 90°, sorted by position:
hkl 0 0 1, 12.17 deg, rel. 50; hkl 0 0 2, 24.48 deg, rel. 24; hkl 1 1 0, 32.92 deg, rel. 30; hkl 1 0 2, 33.92 deg, rel. 34; hkl 1 1 1, 35.22 deg, rel. 81; hkl 0 0 3, 37.08 deg, rel. 29; hkl 1 1 2, 41.45 deg, rel. 79; hkl 2 0 0, 47.25 deg, rel. 100; hkl 1 1 3, 50.42 deg, rel. 99; hkl 2 2 0, 69.05 deg, rel. 30

```
CaNi4P3
1.0
3.8474 0.0000 0.0000
0.0000 3.8474 0.0000
0.0000 0.0000 7.2736
Ca Ni P
1 4 3
Direct
0.0000 0.0000 0.0000 Ca
0.0000 0.5000 0.3240 Ni
0.0000 0.5000 0.6760 Ni
0.5000 0.0000 0.3240 Ni
0.5000 0.0000 0.6760 Ni
0.0000 0.0000 0.5000 P
0.5000 0.5000 0.1599 P
0.5000 0.5000 0.8401 P
```